Record 1
Calculated PXRD pattern
Compound: BaIrI
Radiation: CuKα
Structure: a structure optimized by DFT (GGA-PBE)
Neutral-atom scattering factors, no anomalous dispersion.

Most intense lines, 5° ≤ 2θ ≤ 70°, in order of falling intensity:
2θ (°)  I_rel
8.9  1000
29.4  827
27.9  663
41.8  373
30.7  372
51.0  356
37.9  311
19.2  307
33.9  291
57.7  291
40.7  255
68.0  204

Atomic structure:
```
BaIrI
1.0
4.743 0.000 0.000
0.000 4.434 0.000
-2.359 0.000 9.899
Ba Ir I
2 2 2
Cartesian
0.000 1.109 1.915
2.385 3.326 7.984
0.013 1.109 9.428
2.371 3.326 0.471
0.014 1.109 6.384
2.371 3.326 3.515
```

---

Record 2
Calculated PXRD pattern
Compound: Ba6IrI2
Radiation: CuKα
Structure: a structure optimized by DFT (GGA-PBE)
Neutral-atom scattering factors, no anomalous dispersion.

Most intense lines, 5° ≤ 2θ ≤ 70°, in order of falling intensity:
2θ (°)  I_rel
24.6  1000
30.2  959
13.3  586
39.5  459
50.5  217
46.7  192
65.9  185
37.8  169
21.0  163
47.1  156
50.4  133
63.1  121

Atomic structure:
```
Ba6IrI2
1.0
3.955 2.283 8.939
-3.955 2.283 8.939
0.000 -4.566 8.939
Ba Ir I
6 1 2
Cartesian
-2.703 0.134 10.739
-1.467 -2.274 16.077
1.236 -2.408 10.739
-1.236 2.408 16.077
1.467 2.274 10.739
2.703 -0.134 16.077
0.000 0.000 0.000
0.000 0.000 4.586
0.000 0.000 22.231
```